BaB2O4: computed X-ray diffraction stick pattern (Cu Kα), based on a DFT-relaxed cell (PBE, Alexandria).
Intensities are scaled so that the largest is 100.

Largest 10 diffraction maxima, in order of falling intensity, 10 to 90 degrees two-theta:
- 26.20 deg, rel. 100
- 24.32 deg, rel. 77
- 14.65 deg, rel. 48
- 43.96 deg, rel. 37
- 36.05 deg, rel. 36
- 36.30 deg, rel. 33
- 37.81 deg, rel. 24
- 42.79 deg, rel. 22
- 28.50 deg, rel. 19
- 47.34 deg, rel. 19

Crystal structure
Cell lengths 14.0816, 14.0816, 14.0816 Å; angles 30.13, 30.13, 30.13 degrees
Fractional positions:
1 Ba 0.1512 0.1512 0.1512
2 Ba 0.2500 0.2500 0.2500
3 Ba 0.3488 0.3488 0.3488
4 Ba 0.6512 0.6512 0.6512
5 Ba 0.7500 0.7500 0.7500
6 Ba 0.8488 0.8488 0.8488
7 B 0.0037 0.2491 0.8621
8 B 0.1379 0.9963 0.7509
9 B 0.2491 0.8621 0.0037
10 B 0.2509 0.4963 0.6379
11 B 0.3621 0.7491 0.5037
12 B 0.4963 0.6379 0.2509
13 B 0.5037 0.3621 0.7491
14 B 0.6379 0.2509 0.4963
15 B 0.7491 0.5037 0.3621
16 B 0.7509 0.1379 0.9963
17 B 0.8621 0.0037 0.2491
18 B 0.9963 0.7509 0.1379
19 O 0.0266 0.5590 0.3060
20 O 0.0590 0.5266 0.8060
21 O 0.0726 0.8347 0.2107
22 O 0.1653 0.7893 0.9274
23 O 0.1940 0.9410 0.4734
24 O 0.2107 0.0726 0.8347
25 O 0.2893 0.6653 0.4274
26 O 0.3060 0.0266 0.5590
27 O 0.3347 0.5726 0.7107
28 O 0.4274 0.2893 0.6653
29 O 0.4410 0.6940 0.9734
30 O 0.4734 0.1940 0.9410
31 O 0.5266 0.8060 0.0590
32 O 0.5590 0.3060 0.0266
33 O 0.5726 0.7107 0.3347
34 O 0.6653 0.4274 0.2893
35 O 0.6940 0.9734 0.4410
36 O 0.7107 0.3347 0.5726
37 O 0.7893 0.9274 0.1653
38 O 0.8060 0.0590 0.5266
39 O 0.8347 0.2107 0.0726
40 O 0.9274 0.1653 0.7893
41 O 0.9410 0.4734 0.1940
42 O 0.9734 0.4410 0.6940